No. 1
This entry pairs a crystal structure of Pm2Mn12P7 with its theoretical powder diffraction line list. Radiation: Cu Ka. Structure: a DFT-relaxed cell (PBE, Alexandria).

Most intense lines, 2θ = 10–90°, by angle:
d (Å), I_rel
3.318, 11
3.061, 9
2.702, 15
2.342, 100
2.246, 8
1.911, 12
1.819, 15
1.767, 15
1.655, 9
1.411, 8
1.268, 10
1.127, 8

Structure:
```
data_Pm2Mn12P7
_space_group_name_H-M_alt 'P -6'
_space_group_IT_number 174
_cell_length_a 9.3519
_cell_length_b 9.3519
_cell_length_c 3.6377
_cell_angle_alpha 90.00
_cell_angle_beta 90.00
_cell_angle_gamma 120.00
loop_
_space_group_symop_operation_xyz
'x,y,z'
'-x+y,-x,-z'
'-y,x-y,z'
'x,y,-z'
'-x+y,-x,z'
'-y,x-y,-z'
loop_
_atom_site_label
_atom_site_fract_x
_atom_site_fract_y
_atom_site_fract_z
Pm1 0.0000 0.0000 0.0000
Pm2 0.3333 0.6667 0.5000
Mn1 0.0598 0.2888 0.5000
Mn2 0.0896 0.7081 0.0000
Mn3 0.3922 0.1782 0.0000
Mn4 0.5447 0.4381 0.5000
P1 0.0747 0.4491 0.0000
P2 0.2630 0.2089 0.5000
P3 0.6667 0.3333 0.0000
```

No. 2
This entry pairs a crystal structure of ZrZn8Fe4 with its theoretical powder diffraction line list. Radiation: Cu Ka. Structure: a DFT-relaxed cell (PBE, Alexandria).

Most intense lines, 2θ = 10–90°, by angle:
d (Å), I_rel
2.505, 15
2.486, 31
2.164, 36
2.150, 100
1.932, 42
1.922, 25
1.442, 5
1.367, 13
1.296, 5
1.252, 6
1.243, 15
1.241, 16

Structure:
```
data_ZrZn8Fe4
_space_group_name_H-M_alt 'I 4/m m m'
_space_group_IT_number 139
_space_group_name_Hall '-I 4 2'
_cell_length_a 8.591
_cell_length_b 8.591
_cell_length_c 5.009
_cell_angle_alpha 90.00
_cell_angle_beta 90.00
_cell_angle_gamma 90.00
loop_
_atom_site_label
_atom_site_fract_x
_atom_site_fract_y
_atom_site_fract_z
Zr1 0.000 0.000 0.000
Zn1 0.000 0.219 0.500
Zn2 0.000 0.336 0.000
Fe1 0.250 0.250 0.250
```

No. 3
This entry pairs a crystal structure of Nd4Y5Sc with its theoretical powder diffraction line list. Radiation: Cu Ka. Structure: a DFT-relaxed cell (PBE, Alexandria).

Most intense lines, 2θ = 10–90°, by angle:
d (Å), I_rel
3.109, 16
3.067, 23
2.916, 21
2.886, 100
2.796, 48
2.635, 20
2.618, 35
2.523, 15
2.462, 16
1.809, 15
1.662, 15
1.533, 22

Structure:
```
data_Nd4Y5Sc
_space_group_name_H-M_alt 'C 1 2/m 1'
_space_group_IT_number 12
_cell_length_a 19.512
_cell_length_b 3.619
_cell_length_c 9.555
_cell_angle_alpha 90.00
_cell_angle_beta 99.81
_cell_angle_gamma 90.00
loop_
_space_group_symop_operation_xyz
'x,y,z'
'-x,-y,-z'
'-x,y,-z'
'x,-y,z'
'x+1/2,y+1/2,z'
'-x+1/2,-y+1/2,-z'
'-x+1/2,y+1/2,-z'
'x+1/2,-y+1/2,z'
loop_
_atom_site_label
_atom_site_fract_x
_atom_site_fract_y
_atom_site_fract_z
Nd1 0.065 0.000 0.278
Nd2 0.178 0.500 0.505
Y1 0.000 0.500 0.000
Y2 0.114 0.000 0.786
Y3 0.215 0.000 0.142
Sc1 0.000 0.500 0.500
```

No. 4
This entry pairs a crystal structure of Tb2SmDyHo4 with its theoretical powder diffraction line list. Radiation: Cu Ka. Structure: a DFT-relaxed cell (PBE, Alexandria).

Most intense lines, 2θ = 10–90°, by angle:
d (Å), I_rel
3.310, 46
2.934, 100
2.196, 89
1.694, 20
1.655, 6
1.508, 27
1.468, 8
1.441, 23
1.341, 18
1.184, 12
1.109, 7
1.098, 10

Structure:
```
data_Tb2SmDyHo4
_space_group_name_H-M_alt 'I m m a'
_space_group_IT_number 74
_space_group_name_Hall '-I 2b 2'
_cell_length_a 6.781
_cell_length_b 11.731
_cell_length_c 13.238
_cell_angle_alpha 90.00
_cell_angle_beta 90.00
_cell_angle_gamma 90.00
loop_
_atom_site_label
_atom_site_fract_x
_atom_site_fract_y
_atom_site_fract_z
Tb1 0.000 0.000 0.000
Tb2 0.250 0.250 0.250
Sm1 0.000 0.000 0.500
Dy1 0.250 0.250 0.750
Ho1 0.000 0.000 0.249
Ho2 0.249 0.250 0.000
```

No. 5
This entry pairs a crystal structure of Tb3Nd2Y8 with its theoretical powder diffraction line list. Radiation: Cu Ka. Structure: a DFT-relaxed cell (PBE, Alexandria).

Most intense lines, 2θ = 10–90°, by angle:
d (Å), I_rel
7.801, 34
2.995, 80
2.920, 18
2.881, 44
2.858, 69
2.835, 100
2.714, 31
2.604, 73
2.473, 32
1.764, 21
1.504, 23
1.501, 20

Structure:
```
data_Tb3Nd2Y8
_space_group_name_H-M_alt 'P b a m'
_space_group_IT_number 55
_cell_length_a 11.797
_cell_length_b 20.800
_cell_length_c 3.527
_cell_angle_alpha 90.00
_cell_angle_beta 90.00
_cell_angle_gamma 90.00
loop_
_space_group_symop_operation_xyz
'x,y,z'
'-x,-y,-z'
'-x,-y,z'
'x,y,-z'
'x+1/2,-y+1/2,-z'
'-x+1/2,y+1/2,z'
'-x+1/2,y+1/2,-z'
'x+1/2,-y+1/2,z'
loop_
_atom_site_label
_atom_site_fract_x
_atom_site_fract_y
_atom_site_fract_z
Tb1 0.000 0.000 0.000
Tb2 0.145 0.299 0.000
Nd1 0.179 0.901 0.500
Y1 0.045 0.428 0.500
Y2 0.055 0.159 0.000
Y3 0.129 0.713 0.500
Y4 0.208 0.553 0.000
```

No. 6
This entry pairs a crystal structure of Li2Ac3Sn7 with its theoretical powder diffraction line list. Radiation: Cu Ka. Structure: a DFT-relaxed cell (PBE, Alexandria).

Most intense lines, 2θ = 10–90°, by angle:
d (Å), I_rel
4.259, 9
4.039, 6
2.947, 11
2.930, 100
2.692, 8
2.635, 7
2.415, 17
2.363, 16
1.868, 6
1.689, 12
1.542, 11
1.475, 14

Structure:
```
data_Li2Ac3Sn7
_space_group_name_H-M_alt 'P 1 2/m 1'
_space_group_IT_number 10
_cell_length_a 4.726
_cell_length_b 4.830
_cell_length_c 14.922
_cell_angle_alpha 90.00
_cell_angle_beta 99.07
_cell_angle_gamma 90.00
loop_
_space_group_symop_operation_xyz
'x,y,z'
'-x,-y,-z'
'-x,y,-z'
'x,-y,z'
loop_
_atom_site_label
_atom_site_fract_x
_atom_site_fract_y
_atom_site_fract_z
Li1 0.131 0.000 0.263
Ac1 0.000 0.000 0.000
Ac2 0.318 0.500 0.635
Sn1 0.086 0.500 0.173
Sn2 0.221 0.000 0.442
Sn3 0.413 0.000 0.827
Sn4 0.500 0.500 0.000
```

No. 7
This entry pairs a crystal structure of Ac2CuBPt6 with its theoretical powder diffraction line list. Radiation: Cu Ka. Structure: a DFT-relaxed cell (PBE, Alexandria).

Most intense lines, 2θ = 10–90°, by angle:
d (Å), I_rel
3.313, 25
3.117, 37
2.657, 29
2.472, 31
2.435, 100
2.242, 70
1.757, 18
1.578, 21
1.450, 27
1.328, 10
1.246, 12
1.218, 10

Structure:
```
data_Ac2CuBPt6
_space_group_name_H-M_alt 'R -3 m'
_space_group_IT_number 166
_space_group_name_Hall '-R 3 2"'
_cell_length_a 5.8006
_cell_length_b 5.8006
_cell_length_c 19.8759
_cell_angle_alpha 90.00
_cell_angle_beta 90.00
_cell_angle_gamma 120.00
loop_
_atom_site_label
_atom_site_fract_x
_atom_site_fract_y
_atom_site_fract_z
Ac1 0.0000 0.0000 0.2143
Cu1 0.0000 0.0000 0.5000
B1 0.0000 0.0000 0.0000
Pt1 0.0136 0.5068 0.2712
```

No. 8
This entry pairs a crystal structure of Na3BiF8 with its theoretical powder diffraction line list. Radiation: Cu Ka. Structure: a DFT-relaxed cell (PBE, Alexandria).

Most intense lines, 2θ = 10–90°, by angle:
d (Å), I_rel
5.417, 33
4.877, 100
3.862, 25
3.144, 71
3.012, 23
2.438, 12
2.382, 24
2.217, 11
2.023, 20
1.931, 20
1.923, 39
1.645, 21

Structure:
```
data_Na3BiF8
_space_group_name_H-M_alt 'I 4/m m m'
_space_group_IT_number 139
_space_group_name_Hall '-I 4 2'
_cell_length_a 5.461
_cell_length_b 5.461
_cell_length_c 10.834
_cell_angle_alpha 90.00
_cell_angle_beta 90.00
_cell_angle_gamma 90.00
loop_
_atom_site_label
_atom_site_fract_x
_atom_site_fract_y
_atom_site_fract_z
Na1 0.000 0.000 0.000
Na2 0.000 0.500 0.250
Bi1 0.000 0.000 0.500
F1 0.229 0.229 0.384
```

No. 9
This entry pairs a crystal structure of Mn2Ni7As2Pt with its theoretical powder diffraction line list. Radiation: Cu Ka. Structure: a DFT-relaxed cell (PBE, Alexandria).

Most intense lines, 2θ = 10–90°, by angle:
d (Å), I_rel
3.651, 17
2.565, 16
2.339, 18
2.144, 100
2.125, 49
1.905, 23
1.898, 31
1.826, 32
1.803, 25
1.645, 15
1.316, 17
1.101, 22

Structure:
```
data_Mn2Ni7As2Pt
_space_group_name_H-M_alt 'C m m m'
_space_group_IT_number 65
_space_group_name_Hall '-C 2 2'
_cell_length_a 5.130
_cell_length_b 5.198
_cell_length_c 11.386
_cell_angle_alpha 90.00
_cell_angle_beta 90.00
_cell_angle_gamma 90.00
loop_
_atom_site_label
_atom_site_fract_x
_atom_site_fract_y
_atom_site_fract_z
Mn1 0.000 0.000 0.174
Ni1 0.000 0.000 0.500
Ni2 0.000 0.266 0.000
Ni3 0.250 0.250 0.337
As1 0.000 0.500 0.191
Pt1 0.000 0.500 0.500
```

No. 10
This entry pairs a crystal structure of Fe4Pt7 with its theoretical powder diffraction line list. Radiation: Cu Ka. Structure: a DFT-relaxed cell (PBE, Alexandria).

Most intense lines, 2θ = 10–90°, by angle:
d (Å), I_rel
3.638, 28
2.750, 21
2.425, 14
2.290, 10
2.184, 100
2.100, 69
1.938, 10
1.514, 25
1.424, 12
1.228, 18
1.213, 7
1.145, 20

Structure:
```
data_Fe4Pt7
_space_group_name_H-M_alt 'P -6 m 2'
_space_group_IT_number 187
_space_group_name_Hall 'P -6 2'
_cell_length_a 8.4016
_cell_length_b 8.4016
_cell_length_c 2.7310
_cell_angle_alpha 90.00
_cell_angle_beta 90.00
_cell_angle_gamma 120.00
loop_
_atom_site_label
_atom_site_fract_x
_atom_site_fract_y
_atom_site_fract_z
Fe1 0.0000 0.0000 0.0000
Fe2 0.0061 0.5031 0.5000
Pt1 0.1883 0.3767 0.0000
Pt2 0.3079 0.1540 0.5000
Pt3 0.6667 0.3333 0.0000
```

No. 11
This entry pairs a crystal structure of Nb4VSe8 with its theoretical powder diffraction line list. Radiation: Cu Ka. Structure: a DFT-relaxed cell (PBE, Alexandria).

Most intense lines, 2θ = 10–90°, by angle:
d (Å), I_rel
6.430, 38
2.943, 59
2.736, 42
2.471, 47
2.203, 100
1.959, 12
1.746, 55
1.608, 12
1.570, 14
1.426, 8
1.368, 21
1.183, 30

Structure:
```
data_Nb4VSe8
_space_group_name_H-M_alt 'P 63/m m c'
_space_group_IT_number 194
_space_group_name_Hall '-P 6c 2c'
_cell_length_a 6.9821
_cell_length_b 6.9821
_cell_length_c 12.8604
_cell_angle_alpha 90.00
_cell_angle_beta 90.00
_cell_angle_gamma 120.00
loop_
_atom_site_label
_atom_site_fract_x
_atom_site_fract_y
_atom_site_fract_z
Nb1 0.0000 0.0000 0.2500
Nb2 0.0140 0.5070 0.2500
V1 0.0000 0.0000 0.0000
Se1 0.1675 0.3349 0.6204
Se2 0.3333 0.6667 0.1159
```

No. 12
This entry pairs a crystal structure of Na3SnH with its theoretical powder diffraction line list. Radiation: Cu Ka. Structure: a DFT-relaxed cell (PBE, Alexandria).

Most intense lines, 2θ = 10–90°, by angle:
d (Å), I_rel
5.771, 36
5.672, 100
3.698, 49
3.504, 16
3.021, 20
2.886, 20
2.806, 66
2.736, 48
2.309, 18
2.298, 17
2.264, 21
2.259, 16

Structure:
```
data_Na3SnH
_space_group_name_H-M_alt 'P -1'
_space_group_IT_number 2
_cell_length_a 6.357
_cell_length_b 6.424
_cell_length_c 7.375
_cell_angle_alpha 115.53
_cell_angle_beta 112.16
_cell_angle_gamma 90.13
loop_
_space_group_symop_operation_xyz
'x,y,z'
'-x,-y,-z'
loop_
_atom_site_label
_atom_site_fract_x
_atom_site_fract_y
_atom_site_fract_z
Na1 0.014 0.106 0.237
Na2 0.016 0.632 0.238
Na3 0.481 0.342 0.184
Sn1 0.417 0.084 0.667
H1 0.095 0.281 0.061
```